No. 1
For Pu2GaPt5, the GGA-PBE geometry in Alexandria gives the calculated powder XRD pattern in this record (Cu Kα (λ = 1.5418 Å)).

Structure:
Cell lengths 9.8550, 5.6276, 6.8124 Å; angles 90.00, 121.45, 90.00 degrees
Space group Cm (No. 8)
One atom of each set of equivalent atoms:
Pu  0.0000  0.0000  0.0000
Pu  0.0566  0.5000  0.6475
Ga  0.2729  0.0000  0.8244
Pt  0.0585  0.5000  0.1517
Pt  0.2757  0.2577  0.5346
Pt  0.3047  0.2561  0.1517

Principal peaks in the range 2θ = 10–90°, in order of falling intensity:
hkl, d/Å, Position (°2θ), I (rel.)
2 2 0, 2.338, 38.50, 100
2 2 -2, 2.152, 41.98, 77
4 0 -2, 2.398, 37.51, 52
0 0 2, 2.906, 30.77, 45
4 0 0, 2.102, 43.04, 36
6 2 -2, 1.417, 65.90, 27
1 1 2, 2.199, 41.05, 24
2 0 -3, 2.265, 39.80, 23
0 2 1, 2.533, 35.44, 19
1 1 1, 3.216, 27.74, 16

No. 2
For KNaP2H2O7, the GGA-PBE geometry in Alexandria gives the calculated powder XRD pattern in this record (Cu Kα (λ = 1.5418 Å)).

Structure:
Cell lengths 8.0452, 8.0783, 11.4121 Å; angles 106.53, 95.50, 90.09 degrees
Space group P-1 (No. 2)
One atom of each set of equivalent atoms:
K  0.1669  0.2373  0.4345
K  0.2798  0.3485  0.0654
Na  0.1702  0.8504  0.9214
Na  0.3738  0.7887  0.4247
P  0.0069  0.5302  0.2912
P  0.0488  0.8408  0.2074
P  0.2843  0.0702  0.7105
P  0.3529  0.4462  0.7853
H  0.3069  0.9924  0.1576
H  0.4518  0.7851  0.6626
H  0.4756  0.0317  0.1170
H  0.4959  0.4045  0.3758
O  0.0109  0.1313  0.9138
O  0.0304  0.6330  0.1886
O  0.0332  0.3436  0.2281
O  0.0808  0.0794  0.6899
O  0.1040  0.6193  0.4114
O  0.1906  0.4410  0.6864
O  0.2187  0.9072  0.2699
O  0.3287  0.9358  0.7753
O  0.3348  0.2567  0.8100
O  0.3361  0.5778  0.9055
O  0.3469  0.0585  0.5890
O  0.3550  0.0274  0.0912
O  0.4937  0.2984  0.4024
O  0.4952  0.5518  0.2814

Principal peaks in the range 2θ = 10–90°, in order of falling intensity:
hkl, d/Å, Position (°2θ), I (rel.)
0 0 2, 5.442, 16.29, 100
1 -2 3, 2.855, 31.33, 82
0 1 -1, 7.384, 11.99, 75
2 1 1, 3.148, 28.35, 63
0 2 -2, 3.692, 24.10, 57
0 1 3, 2.977, 30.02, 48
1 0 0, 8.004, 11.05, 46
3 0 -2, 2.497, 35.96, 44
2 0 1, 3.640, 24.46, 44
0 3 -2, 2.643, 33.92, 43